# 1
CuSiO4F6: computed X-ray diffraction stick pattern (Cu Ka), based on a cell relaxed with PBE.
Lines closer than 0.1° are merged.

Top 12 peaks for 10° ≤ 2θ ≤ 90°, by intensity:
two_theta  Rel. int.
22.80  100
23.56  50
26.59  44
63.05  26
45.58  25
46.58  23
40.04  18
37.54  12
60.52  11
38.68  9
42.18  9
40.59  9

Structural model:
```
CuSiO4F6
1.0
4.907 0.000 0.000
0.000 7.806 0.000
-1.625 0.000 7.552
Cu Si O F
2 2 8 12
Direct
0.000 0.000 0.000 Cu
0.000 0.500 0.500 Cu
0.500 0.000 0.500 Si
0.500 0.500 0.000 Si
0.028 0.214 0.910 O
0.028 0.286 0.410 O
0.315 0.559 0.423 O
0.315 0.941 0.923 O
0.685 0.059 0.077 O
0.685 0.441 0.577 O
0.972 0.714 0.590 O
0.972 0.786 0.090 O
0.254 0.508 0.811 F
0.254 0.992 0.311 F
0.279 0.115 0.603 F
0.279 0.385 0.103 F
0.386 0.691 0.076 F
0.386 0.809 0.576 F
0.614 0.191 0.424 F
0.614 0.309 0.924 F
0.721 0.615 0.897 F
0.721 0.885 0.397 F
0.746 0.008 0.689 F
0.746 0.492 0.189 F
```


# 2
CuSnO4F6: computed X-ray diffraction stick pattern (Cu Ka), based on a cell relaxed with PBE.
Lines closer than 0.1° are merged.

Top 12 peaks for 10° ≤ 2θ ≤ 90°, by intensity:
two_theta  Rel. int.
22.27  100
25.57  67
22.57  63
21.44  51
43.49  35
38.09  31
45.44  26
31.33  21
51.35  16
15.52  15
34.13  13
48.91  13

Structural model:
```
CuSnO4F6
1.0
4.974 0.000 0.000
0.000 8.288 0.000
-1.520 0.000 7.880
Cu Sn O F
2 2 8 12
Direct
0.000 0.000 0.000 Cu
0.000 0.500 0.500 Cu
0.500 0.000 0.500 Sn
0.500 0.500 0.000 Sn
0.049 0.203 0.921 O
0.049 0.297 0.421 O
0.317 0.559 0.429 O
0.317 0.941 0.929 O
0.683 0.059 0.071 O
0.683 0.441 0.571 O
0.951 0.703 0.579 O
0.951 0.797 0.079 O
0.227 0.004 0.285 F
0.227 0.496 0.785 F
0.252 0.134 0.616 F
0.252 0.366 0.116 F
0.357 0.710 0.081 F
0.357 0.790 0.581 F
0.643 0.210 0.419 F
0.643 0.290 0.919 F
0.748 0.634 0.884 F
0.748 0.866 0.384 F
0.773 0.504 0.215 F
0.773 0.996 0.715 F
```


# 3
CuOsF6: computed X-ray diffraction stick pattern (Cu Ka), based on a cell relaxed with PBE.
Lines closer than 0.1° are merged.

Top 12 peaks for 10° ≤ 2θ ≤ 90°, by intensity:
two_theta  Rel. int.
27.53  100
20.22  56
52.51  32
45.42  25
58.87  24
35.40  21
40.23  16
22.26  14
18.49  14
42.95  13
63.56  11
61.71  10

Structural model:
```
CuOsF6
1.0
5.071 0.000 0.000
-2.536 4.392 0.000
0.000 0.000 9.598
Cu Os F
2 2 12
Direct
0.333 0.667 0.250 Cu
0.667 0.333 0.750 Cu
0.000 0.000 0.000 Os
0.000 0.000 0.500 Os
0.013 0.317 0.119 F
0.013 0.696 0.381 F
0.304 0.317 0.381 F
0.304 0.987 0.119 F
0.317 0.013 0.619 F
0.317 0.304 0.881 F
0.683 0.696 0.119 F
0.683 0.987 0.381 F
0.696 0.013 0.881 F
0.696 0.683 0.619 F
0.987 0.304 0.619 F
0.987 0.683 0.881 F
```


# 4
CuSbOsF: computed X-ray diffraction stick pattern (Cu Ka), based on a cell relaxed with PBE.
Lines closer than 0.1° are merged.

Top 12 peaks for 10° ≤ 2θ ≤ 90°, by intensity:
two_theta  Rel. int.
11.09  100
38.76  50
37.02  46
43.11  28
33.95  27
45.66  24
60.34  21
78.69  17
45.46  14
33.69  11
61.57  9
34.58  8

Structural model:
```
CuSbOsF
1.0
5.312 0.000 0.000
0.000 3.069 0.000
-1.766 0.000 7.980
Cu Sb Os F
2 2 2 2
Direct
0.000 0.000 0.000 Cu
0.500 0.500 0.000 Cu
0.336 0.500 0.502 Sb
0.836 0.000 0.502 Sb
0.087 0.500 0.757 Os
0.587 0.000 0.757 Os
0.380 0.000 0.145 F
0.880 0.500 0.145 F
```


# 5
CuSbOsF: computed X-ray diffraction stick pattern (Cu Ka), based on a cell relaxed with PBE.
Lines closer than 0.1° are merged.

Top 12 peaks for 10° ≤ 2θ ≤ 90°, by intensity:
two_theta  Rel. int.
11.06  100
40.67  92
35.49  51
33.61  31
60.12  21
48.26  19
80.54  17
78.39  16
57.60  15
75.12  15
45.33  13
70.66  10

Structural model:
```
CuSbOsF
1.0
3.078 0.000 0.000
-1.539 2.666 0.000
0.000 0.000 8.003
Cu Sb Os F
1 1 1 1
Direct
0.000 0.000 0.000 Cu
0.000 0.000 0.494 Sb
0.333 0.667 0.242 Os
0.667 0.333 0.857 F
```


# 6
Cu3PF12: computed X-ray diffraction stick pattern (Cu Ka), based on a cell relaxed with PBE.
Lines closer than 0.1° are merged.

Top 12 peaks for 10° ≤ 2θ ≤ 90°, by intensity:
two_theta  Rel. int.
23.39  100
53.91  32
47.83  26
33.32  21
74.91  13
69.97  13
59.54  7
79.73  4
89.21  4
44.57  3
37.39  3
50.93  2

Structural model:
```
Cu3PF12
1.0
-3.803 3.803 3.803
3.803 -3.803 3.803
3.803 3.803 -3.803
Cu P F
3 1 12
Direct
0.000 0.500 0.500 Cu
0.500 0.000 0.500 Cu
0.500 0.500 0.000 Cu
0.000 0.000 0.000 P
0.000 0.214 0.214 F
0.000 0.786 0.786 F
0.214 0.000 0.214 F
0.214 0.214 0.000 F
0.250 0.500 0.750 F
0.250 0.750 0.500 F
0.500 0.250 0.750 F
0.500 0.750 0.250 F
0.750 0.250 0.500 F
0.750 0.500 0.250 F
0.786 0.000 0.786 F
0.786 0.786 0.000 F
```


# 7
CuP3F12: computed X-ray diffraction stick pattern (Cu Ka), based on a cell relaxed with PBE.
Lines closer than 0.1° are merged.

Top 12 peaks for 10° ≤ 2θ ≤ 90°, by intensity:
two_theta  Rel. int.
13.82  100
23.33  91
20.12  39
32.53  26
18.06  21
35.14  20
50.30  17
29.25  11
57.69  10
42.58  9
27.84  9
56.48  9

Structural model:
```
CuP3F12
1.0
4.228 2.441 8.828
-4.228 2.441 8.828
0.000 -4.882 8.828
Cu P F
2 6 24
Direct
0.000 0.000 0.000 Cu
0.500 0.500 0.500 Cu
0.040 0.275 0.766 P
0.266 0.775 0.540 P
0.275 0.766 0.040 P
0.540 0.266 0.775 P
0.766 0.040 0.275 P
0.775 0.540 0.266 P
0.018 0.182 0.689 F
0.057 0.335 0.867 F
0.094 0.779 0.735 F
0.182 0.689 0.018 F
0.189 0.682 0.518 F
0.198 0.973 0.387 F
0.235 0.279 0.594 F
0.279 0.594 0.235 F
0.335 0.867 0.057 F
0.367 0.835 0.557 F
0.387 0.198 0.973 F
0.473 0.698 0.887 F
0.518 0.189 0.682 F
0.557 0.367 0.835 F
0.594 0.235 0.279 F
0.682 0.518 0.189 F
0.689 0.018 0.182 F
0.698 0.887 0.473 F
0.735 0.094 0.779 F
0.779 0.735 0.094 F
0.835 0.557 0.367 F
0.867 0.057 0.335 F
0.887 0.473 0.698 F
0.973 0.387 0.198 F
```


# 8
PmCuPF: computed X-ray diffraction stick pattern (Cu Ka), based on a cell relaxed with PBE.
Lines closer than 0.1° are merged.

Top 12 peaks for 10° ≤ 2θ ≤ 90°, by intensity:
two_theta  Rel. int.
39.41  100
25.45  82
31.45  64
47.29  45
49.17  35
34.66  25
70.61  24
31.73  23
57.90  22
54.47  21
82.58  21
58.08  17

Structural model:
```
PmCuPF
1.0
3.844 0.000 0.000
0.000 3.844 0.000
0.000 0.000 8.459
Pm Cu P F
2 2 2 2
Direct
0.250 0.250 0.191 Pm
0.750 0.750 0.809 Pm
0.250 0.750 0.500 Cu
0.750 0.250 0.500 Cu
0.250 0.250 0.673 P
0.750 0.750 0.327 P
0.250 0.750 0.000 F
0.750 0.250 0.000 F
```


# 9
Tl3Cu2PbF9: computed X-ray diffraction stick pattern (Cu Ka), based on a cell relaxed with PBE.
Lines closer than 0.1° are merged.

Top 12 peaks for 10° ≤ 2θ ≤ 90°, by intensity:
two_theta  Rel. int.
28.50  100
29.32  92
41.35  58
51.50  39
20.34  21
52.01  19
60.83  18
68.51  18
35.95  16
49.95  13
58.98  13
67.22  12

Structural model:
```
Tl3Cu2PbF9
1.0
6.091 0.000 0.000
-3.046 5.275 0.000
0.000 0.000 7.785
Tl Cu Pb F
3 2 1 9
Direct
0.000 0.000 0.000 Tl
0.333 0.667 0.706 Tl
0.667 0.333 0.294 Tl
0.333 0.667 0.151 Cu
0.667 0.333 0.849 Cu
0.000 0.000 0.500 Pb
0.000 0.500 0.000 F
0.177 0.353 0.302 F
0.177 0.823 0.302 F
0.353 0.177 0.698 F
0.500 0.000 0.000 F
0.500 0.500 0.000 F
0.647 0.823 0.302 F
0.823 0.177 0.698 F
0.823 0.647 0.698 F
```


Repeat the seventh record exactly.
CuP3F12: computed X-ray diffraction stick pattern (Cu Ka), based on a cell relaxed with PBE.
Lines closer than 0.1° are merged.

Top 12 peaks for 10° ≤ 2θ ≤ 90°, by intensity:
two_theta  Rel. int.
13.82  100
23.33  91
20.12  39
32.53  26
18.06  21
35.14  20
50.30  17
29.25  11
57.69  10
42.58  9
27.84  9
56.48  9

Structural model:
```
CuP3F12
1.0
4.228 2.441 8.828
-4.228 2.441 8.828
0.000 -4.882 8.828
Cu P F
2 6 24
Direct
0.000 0.000 0.000 Cu
0.500 0.500 0.500 Cu
0.040 0.275 0.766 P
0.266 0.775 0.540 P
0.275 0.766 0.040 P
0.540 0.266 0.775 P
0.766 0.040 0.275 P
0.775 0.540 0.266 P
0.018 0.182 0.689 F
0.057 0.335 0.867 F
0.094 0.779 0.735 F
0.182 0.689 0.018 F
0.189 0.682 0.518 F
0.198 0.973 0.387 F
0.235 0.279 0.594 F
0.279 0.594 0.235 F
0.335 0.867 0.057 F
0.367 0.835 0.557 F
0.387 0.198 0.973 F
0.473 0.698 0.887 F
0.518 0.189 0.682 F
0.557 0.367 0.835 F
0.594 0.235 0.279 F
0.682 0.518 0.189 F
0.689 0.018 0.182 F
0.698 0.887 0.473 F
0.735 0.094 0.779 F
0.779 0.735 0.094 F
0.835 0.557 0.367 F
0.867 0.057 0.335 F
0.887 0.473 0.698 F
0.973 0.387 0.198 F
```